This entry pairs a crystal structure of CaPu2Ga6 with its theoretical powder XRD pattern. Radiation: Cu Kα, 1.54184 Å. Structure: a DFT-relaxed cell (GGA-PBE, Alexandria).
Neutral-atom scattering factors, no anomalous dispersion.

```
data_CaPu2Ga6
_chemical_formula_sum 'Ca1 Pu2 Ga6'
_symmetry_space_group_name_H-M 'P 6/m m m'
_symmetry_Int_Tables_number 191
_symmetry_space_group_name_Hall '-P 6 2'
_cell_length_a 7.8719
_cell_length_b 7.8719
_cell_length_c 3.4911
_cell_angle_alpha 90.00
_cell_angle_beta 90.00
_cell_angle_gamma 120.00
loop_
_atom_site_label
_atom_site_type_symbol
_atom_site_fract_x
_atom_site_fract_y
_atom_site_fract_z
_atom_site_occupancy
Ca1 Ca 0.0000 0.0000 0.0000 1
Pu1 Pu 0.3333 0.6667 0.0000 1
Ga1 Ga 0.0000 0.3339 0.5000 1
```

Largest 10 diffraction maxima, most intense first, 5° ≤ 2θ ≤ 70°:
2θ 34.34, intensity 100, hkl 1 1 1; 2θ 39.66, intensity 57, hkl 3 0 0; 2θ 12.99, intensity 32, hkl 1 0 0; 2θ 53.45, intensity 29, hkl 2 2 1; 2θ 68.57, intensity 27, hkl 4 1 1; 2θ 67.68, intensity 23, hkl 3 0 2; 2θ 22.59, intensity 22, hkl 1 1 0; 2θ 28.73, intensity 11, hkl 1 0 1; 2θ 52.42, intensity 8, hkl 0 0 2; 2θ 43.66, intensity 7, hkl 2 1 1